Structure and theoretical X-ray diffraction stick pattern of Li2AcPt (a crystal structure in Alexandria, relaxed with GGA-PBE; a wavelength of 1.5418 Å).
Intensities are scaled so that the largest is 100.

Main lines, low angle first (10° ≤ 2θ ≤ 80°):
- d 6.491, 13.6°, rel. 73.0
- d 3.845, 23.1°, rel. 100.0
- d 3.204, 27.8°, rel. 54.9
- d 2.898, 30.9°, rel. 47.9
- d 2.435, 36.9°, rel. 75.3
- d 2.386, 37.7°, rel. 31.2
- d 2.314, 38.9°, rel. 57.1
- d 2.027, 44.7°, rel. 36.4
- d 1.842, 49.5°, rel. 26.5
- d 1.545, 59.9°, rel. 38.9

```
data_Li2AcPt
_chemical_formula_sum 'Li4 Ac2 Pt2'
_symmetry_space_group_name_H-M 'P 1'
_symmetry_Int_Tables_number 1
_cell_length_a 4.7725
_cell_length_b 5.7953
_cell_length_c 6.4915
_cell_angle_alpha 90.00
_cell_angle_beta 90.00
_cell_angle_gamma 90.00
loop_
_symmetry_equiv_pos_as_xyz
'x,y,z'
loop_
_atom_site_label
_atom_site_fract_x
_atom_site_fract_y
_atom_site_fract_z
Li1 0.2500 0.0153 0.0898
Li2 0.2500 0.4847 0.0898
Li3 0.7500 0.5153 0.9102
Li4 0.7500 0.9847 0.9102
Ac1 0.2500 0.2500 0.5761
Ac2 0.7500 0.7500 0.4239
Pt1 0.2500 0.7500 0.7451
Pt2 0.7500 0.2500 0.2549
```

Structure and theoretical X-ray diffraction stick pattern of LiAcPuPt2 (a crystal structure in Alexandria, relaxed with GGA-PBE; a wavelength of 1.5418 Å).
Intensities are scaled so that the largest is 100.

Main lines, low angle first (10° ≤ 2θ ≤ 80°):
- d 4.078, 21.8°, rel. 44.8
- d 3.035, 29.4°, rel. 100.0
- d 2.748, 32.6°, rel. 83.9
- d 2.204, 40.9°, rel. 83.0
- d 2.150, 42.0°, rel. 51.1
- d 1.754, 52.1°, rel. 31.8
- d 1.539, 60.1°, rel. 41.2
- d 1.521, 60.9°, rel. 17.4
- d 1.331, 70.8°, rel. 18.8
- d 1.252, 76.0°, rel. 17.4

```
data_LiAcPuPt2
_chemical_formula_sum 'Li2 Ac2 Pu2 Pt4'
_symmetry_space_group_name_H-M 'P 1'
_symmetry_Int_Tables_number 1
_cell_length_a 4.3010
_cell_length_b 4.3010
_cell_length_c 12.8305
_cell_angle_alpha 90.00
_cell_angle_beta 90.00
_cell_angle_gamma 90.00
loop_
_symmetry_equiv_pos_as_xyz
'x,y,z'
loop_
_atom_site_label
_atom_site_fract_x
_atom_site_fract_y
_atom_site_fract_z
Li1 0.0000 0.0000 0.0000
Li2 0.5000 0.5000 0.5000
Ac1 0.0000 0.5000 0.2500
Ac2 0.5000 0.0000 0.7500
Pu1 0.0000 0.0000 0.5000
Pu2 0.5000 0.5000 0.0000
Pt1 0.0000 0.5000 0.6425
Pt2 0.0000 0.5000 0.8575
Pt3 0.5000 0.0000 0.1425
Pt4 0.5000 0.0000 0.3575
```

Structure and theoretical X-ray diffraction stick pattern of LiAcZn2Pt2 (a crystal structure in Alexandria, relaxed with GGA-PBE; a wavelength of 1.5418 Å).
Intensities are scaled so that the largest is 100.

Main lines, low angle first (10° ≤ 2θ ≤ 80°):
- d 3.359, 26.5°, rel. 100.0
- d 2.595, 34.6°, rel. 69.5
- d 2.358, 38.2°, rel. 15.0
- d 2.204, 41.0°, rel. 67.2
- d 2.006, 45.2°, rel. 17.8
- d 1.843, 49.5°, rel. 19.0
- d 1.680, 54.6°, rel. 19.2
- d 1.610, 57.2°, rel. 27.9
- d 1.414, 66.1°, rel. 16.4
- d 1.336, 70.5°, rel. 18.1

```
data_LiAcZn2Pt2
_chemical_formula_sum 'Li1 Ac1 Zn2 Pt2'
_symmetry_space_group_name_H-M 'P 1'
_symmetry_Int_Tables_number 1
_cell_length_a 4.4077
_cell_length_b 4.4077
_cell_length_c 7.0755
_cell_angle_alpha 90.00
_cell_angle_beta 90.00
_cell_angle_gamma 120.00
loop_
_symmetry_equiv_pos_as_xyz
'x,y,z'
loop_
_atom_site_label
_atom_site_fract_x
_atom_site_fract_y
_atom_site_fract_z
Li1 0.0000 0.0000 0.0000
Ac1 0.0000 0.0000 0.5000
Zn1 0.3333 0.6667 0.8461
Zn2 0.6667 0.3333 0.1539
Pt1 0.3333 0.6667 0.2202
Pt2 0.6667 0.3333 0.7798
```

Structure and theoretical X-ray diffraction stick pattern of LiAc2Pu3Se6 (a crystal structure in Alexandria, relaxed with GGA-PBE; a wavelength of 1.5418 Å).
Intensities are scaled so that the largest is 100.

Main lines, low angle first (10° ≤ 2θ ≤ 80°):
- d 3.483, 25.6°, rel. 23.6
- d 3.024, 29.5°, rel. 100.0
- d 3.012, 29.7°, rel. 49.2
- d 2.149, 42.1°, rel. 38.4
- d 2.142, 42.2°, rel. 18.8
- d 2.134, 42.4°, rel. 20.2
- d 2.119, 42.7°, rel. 36.6
- d 1.741, 52.6°, rel. 20.3
- d 1.355, 69.4°, rel. 17.0
- d 1.230, 77.6°, rel. 12.9

```
data_LiAc2Pu3Se6
_chemical_formula_sum 'Li1 Ac2 Pu3 Se6'
_symmetry_space_group_name_H-M 'P 1'
_symmetry_Int_Tables_number 1
_cell_length_a 9.5689
_cell_length_b 9.5689
_cell_length_c 8.5702
_cell_angle_alpha 104.02
_cell_angle_beta 104.02
_cell_angle_gamma 25.77
loop_
_symmetry_equiv_pos_as_xyz
'x,y,z'
loop_
_atom_site_label
_atom_site_fract_x
_atom_site_fract_y
_atom_site_fract_z
Li1 0.0000 0.0000 0.0000
Ac1 0.3371 0.3371 0.6739
Ac2 0.6629 0.6629 0.3261
Pu1 0.0000 0.0000 0.5000
Pu2 0.3320 0.3320 0.1675
Pu3 0.6680 0.6680 0.8325
Se1 0.1629 0.1629 0.5933
Se2 0.1645 0.1645 0.0653
Se3 0.4938 0.4938 0.2481
Se4 0.5062 0.5062 0.7519
Se5 0.8355 0.8355 0.9347
Se6 0.8371 0.8371 0.4067
```

Structure and theoretical X-ray diffraction stick pattern of LiAcPu2Se4 (a crystal structure in Alexandria, relaxed with GGA-PBE; a wavelength of 1.5418 Å).
Intensities are scaled so that the largest is 100.

Main lines, low angle first (10° ≤ 2θ ≤ 80°):
- d 7.018, 12.6°, rel. 15.9
- d 6.849, 12.9°, rel. 8.3
- d 3.467, 25.7°, rel. 12.7
- d 3.002, 29.8°, rel. 100.0
- d 2.141, 42.2°, rel. 26.0
- d 2.125, 42.5°, rel. 25.4
- d 2.102, 43.0°, rel. 24.6
- d 1.734, 52.8°, rel. 13.7
- d 1.503, 61.7°, rel. 8.5
- d 1.344, 70.0°, rel. 11.7

```
data_LiAcPu2Se4
_chemical_formula_sum 'Li1 Ac1 Pu2 Se4'
_symmetry_space_group_name_H-M 'P 1'
_symmetry_Int_Tables_number 1
_cell_length_a 7.2572
_cell_length_b 4.2511
_cell_length_c 7.4370
_cell_angle_alpha 90.00
_cell_angle_beta 109.31
_cell_angle_gamma 90.00
loop_
_symmetry_equiv_pos_as_xyz
'x,y,z'
loop_
_atom_site_label
_atom_site_fract_x
_atom_site_fract_y
_atom_site_fract_z
Li1 0.0000 0.0000 0.0000
Ac1 0.5000 0.5000 0.0000
Pu1 0.0000 0.5000 0.5000
Pu2 0.5000 0.0000 0.5000
Se1 0.2347 0.0000 0.7374
Se2 0.2441 0.5000 0.2569
Se3 0.7559 0.5000 0.7431
Se4 0.7653 0.0000 0.2626
```

Structure and theoretical X-ray diffraction stick pattern of Li2AcPuTe4 (a crystal structure in Alexandria, relaxed with GGA-PBE; a wavelength of 1.5418 Å).
Intensities are scaled so that the largest is 100.

Main lines, low angle first (10° ≤ 2θ ≤ 80°):
- d 5.489, 16.1°, rel. 66.0
- d 3.342, 26.7°, rel. 59.2
- d 2.855, 31.3°, rel. 100.0
- d 2.745, 32.6°, rel. 55.3
- d 2.455, 36.6°, rel. 17.1
- d 2.121, 42.6°, rel. 35.2
- d 1.967, 46.2°, rel. 19.2
- d 1.941, 46.8°, rel. 19.8
- d 1.605, 57.4°, rel. 34.3
- d 1.599, 57.7°, rel. 19.0

```
data_Li2AcPuTe4
_chemical_formula_sum 'Li4 Ac2 Pu2 Te8'
_symmetry_space_group_name_H-M 'P 1'
_symmetry_Int_Tables_number 1
_cell_length_a 7.7629
_cell_length_b 7.7629
_cell_length_c 8.4271
_cell_angle_alpha 90.00
_cell_angle_beta 90.00
_cell_angle_gamma 90.00
loop_
_symmetry_equiv_pos_as_xyz
'x,y,z'
loop_
_atom_site_label
_atom_site_fract_x
_atom_site_fract_y
_atom_site_fract_z
Li1 0.0000 0.5000 0.2500
Li2 0.0000 0.5000 0.7500
Li3 0.5000 0.0000 0.2500
Li4 0.5000 0.0000 0.7500
Ac1 0.0000 0.0000 0.0000
Ac2 0.5000 0.5000 0.5000
Pu1 0.0000 0.0000 0.5000
Pu2 0.5000 0.5000 0.0000
Te1 0.2359 0.2359 0.7038
Te2 0.2359 0.7641 0.2962
Te3 0.2641 0.2641 0.2038
Te4 0.2641 0.7359 0.7962
Te5 0.7359 0.2641 0.7962
Te6 0.7359 0.7359 0.2038
Te7 0.7641 0.2359 0.2962
Te8 0.7641 0.7641 0.7038
```

Structure and theoretical X-ray diffraction stick pattern of Li3AcRh (a crystal structure in Alexandria, relaxed with GGA-PBE; a wavelength of 1.5418 Å).
Intensities are scaled so that the largest is 100.

Main lines, low angle first (10° ≤ 2θ ≤ 80°):
- d 5.346, 16.6°, rel. 58.9
- d 4.743, 18.7°, rel. 100.0
- d 4.307, 20.6°, rel. 43.5
- d 3.548, 25.1°, rel. 44.9
- d 3.188, 28.0°, rel. 44.2
- d 2.841, 31.5°, rel. 54.6
- d 2.437, 36.9°, rel. 77.2
- d 2.108, 42.9°, rel. 24.2
- d 1.821, 50.1°, rel. 30.2
- d 1.669, 55.0°, rel. 23.5

```
data_Li3AcRh
_chemical_formula_sum 'Li6 Ac2 Rh2'
_symmetry_space_group_name_H-M 'P 1'
_symmetry_Int_Tables_number 1
_cell_length_a 4.7435
_cell_length_b 4.7050
_cell_length_c 10.6921
_cell_angle_alpha 90.00
_cell_angle_beta 90.00
_cell_angle_gamma 90.00
loop_
_symmetry_equiv_pos_as_xyz
'x,y,z'
loop_
_atom_site_label
_atom_site_fract_x
_atom_site_fract_y
_atom_site_fract_z
Li1 0.0000 0.0000 0.0000
Li2 0.0000 0.0000 0.2482
Li3 0.0000 0.5000 0.5000
Li4 0.0000 0.5000 0.7482
Li5 0.5000 0.0000 0.4663
Li6 0.5000 0.5000 0.9663
Ac1 0.5000 0.0000 0.7513
Ac2 0.5000 0.5000 0.2513
Rh1 0.5000 0.0000 0.1081
Rh2 0.5000 0.5000 0.6081
```

Structure and theoretical X-ray diffraction stick pattern of LiAc2Sn2Rh (a crystal structure in Alexandria, relaxed with GGA-PBE; a wavelength of 1.5418 Å).
Intensities are scaled so that the largest is 100.

Main lines, low angle first (10° ≤ 2θ ≤ 80°):
- d 3.999, 22.2°, rel. 38.0
- d 3.660, 24.3°, rel. 41.5
- d 3.395, 26.3°, rel. 62.7
- d 3.357, 26.6°, rel. 63.4
- d 2.904, 30.8°, rel. 100.0
- d 2.489, 36.1°, rel. 70.4
- d 2.474, 36.3°, rel. 71.1
- d 2.387, 37.7°, rel. 96.7
- d 1.999, 45.4°, rel. 33.9
- d 1.708, 53.7°, rel. 61.5

```
data_LiAc2Sn2Rh
_chemical_formula_sum 'Li2 Ac4 Sn4 Rh2'
_symmetry_space_group_name_H-M 'P 1'
_symmetry_Int_Tables_number 1
_cell_length_a 8.7388
_cell_length_b 8.7388
_cell_length_c 8.7388
_cell_angle_alpha 134.28
_cell_angle_beta 66.23
_cell_angle_gamma 134.82
loop_
_symmetry_equiv_pos_as_xyz
'x,y,z'
loop_
_atom_site_label
_atom_site_fract_x
_atom_site_fract_y
_atom_site_fract_z
Li1 0.2500 0.2500 0.0000
Li2 0.7500 0.7500 0.0000
Ac1 0.1535 0.7324 0.8859
Ac2 0.3465 0.2324 0.5789
Ac3 0.6535 0.7676 0.4211
Ac4 0.8465 0.2676 0.1141
Sn1 0.0997 0.2449 0.3447
Sn2 0.4003 0.7449 0.1452
Sn3 0.5997 0.2551 0.8548
Sn4 0.9003 0.7551 0.6553
Rh1 0.2500 0.7500 0.5000
Rh2 0.7500 0.2500 0.5000
```